Entry 1:
Theoretical powder XRD pattern of K3CdSb2O6 for a wavelength of 1.5418 Å, from a GGA-PBE-relaxed structure.
Neutral-atom scattering factors, no anomalous dispersion.

Cell: 6.197 6.197 7.158 Å, 90.00 90.00 120.00°
Atoms (fractional coordinates):
1 K 0.000 0.000 0.000
2 K 0.333 0.667 0.646
3 K 0.667 0.333 0.354
4 Cd 0.000 0.000 0.500
5 Sb 0.333 0.667 0.184
6 Sb 0.667 0.333 0.816
7 O 0.170 0.340 0.300
8 O 0.170 0.830 0.300
9 O 0.340 0.170 0.700
10 O 0.660 0.830 0.300
11 O 0.830 0.170 0.700
12 O 0.830 0.660 0.700

The 10 most intense peaks (2θ from 10° to 90°), sorted by position:
| d_spacing | Rel. int. | hkl |
| --- | --- | --- |
| 4.294 | 85 | 1 0 1 |
| 3.098 | 100 | 1 1 0 |
| 2.978 | 89 | 0 1 2 |
| 2.147 | 54 | 2 0 2 |
| 1.952 | 20 | 2 1 1 |
| 1.890 | 16 | 1 1 3 |
| 1.789 | 20 | 3 0 0 |
| 1.765 | 36 | 1 2 2 |
| 1.549 | 19 | 2 2 0 |
| 1.374 | 16 | 3 1 2 |

Entry 2:
Theoretical powder XRD pattern of Dy5Ti5O17 for a wavelength of 1.5418 Å, from a GGA-PBE-relaxed structure.
Neutral-atom scattering factors, no anomalous dispersion.

Cell: 3.828 5.491 31.531 Å, 90.00 90.00 90.00°
Atoms (fractional coordinates):
1 Dy 0.000 0.156 0.000
2 Dy 0.000 0.206 0.219
3 Dy 0.000 0.344 0.443
4 Dy 0.000 0.669 0.319
5 Dy 0.000 0.831 0.125
6 Dy 0.500 0.169 0.625
7 Dy 0.500 0.331 0.819
8 Dy 0.500 0.656 0.943
9 Dy 0.500 0.794 0.719
10 Dy 0.500 0.844 0.500
11 Ti 0.000 0.216 0.897
12 Ti 0.000 0.265 0.721
13 Ti 0.000 0.281 0.546
14 Ti 0.000 0.727 0.632
15 Ti 0.000 0.773 0.809
16 Ti 0.500 0.227 0.309
17 Ti 0.500 0.273 0.132
18 Ti 0.500 0.719 0.046
19 Ti 0.500 0.735 0.221
20 Ti 0.500 0.784 0.397
21 O 0.000 0.057 0.667
22 O 0.000 0.062 0.496
23 O 0.000 0.068 0.839
24 O 0.000 0.249 0.142
25 O 0.000 0.263 0.298
26 O 0.000 0.417 0.775
27 O 0.000 0.420 0.604
28 O 0.000 0.437 0.948
29 O 0.000 0.545 0.854
30 O 0.000 0.555 0.511
31 O 0.000 0.569 0.692
32 O 0.000 0.712 0.392
33 O 0.000 0.777 0.217
34 O 0.000 0.789 0.051
35 O 0.000 0.931 0.752
36 O 0.000 0.943 0.932
37 O 0.000 0.945 0.587
38 O 0.500 0.055 0.087
39 O 0.500 0.057 0.432
40 O 0.500 0.069 0.252
41 O 0.500 0.211 0.551
42 O 0.500 0.223 0.717
43 O 0.500 0.288 0.892
44 O 0.500 0.431 0.192
45 O 0.500 0.445 0.011
46 O 0.500 0.455 0.354
47 O 0.500 0.563 0.448
48 O 0.500 0.580 0.104
49 O 0.500 0.583 0.275
50 O 0.500 0.737 0.798
51 O 0.500 0.751 0.642
52 O 0.500 0.932 0.339
53 O 0.500 0.938 0.996
54 O 0.500 0.943 0.167

The 10 most intense peaks (2θ from 10° to 90°), sorted by position:
| d_spacing | Rel. int. | hkl |
| --- | --- | --- |
| 5.185 | 20 | 0 1 2 |
| 4.141 | 42 | 0 1 5 |
| 3.153 | 32 | 0 0 10 |
| 3.125 | 25 | 1 1 1 |
| 2.917 | 100 | 1 1 4 |
| 2.696 | 29 | 1 1 6 |
| 2.656 | 25 | 0 2 3 |
| 2.584 | 33 | 1 0 9 |
| 2.054 | 23 | 1 2 6 |
| 1.914 | 29 | 2 0 0 |